Ac2InSn4Pb2: simulated powder X-ray diffraction pattern (CuKα), based on a GGA-PBE-relaxed structure.

Top 12 peaks for 2θ from 10° to 90°, by angle:
2θ 24.75, intensity 14; 2θ 29.25, intensity 100; 2θ 30.95, intensity 30; 2θ 35.29, intensity 44; 2θ 36.39, intensity 12; 2θ 44.51, intensity 7; 2θ 47.64, intensity 34; 2θ 50.76, intensity 16; 2θ 54.01, intensity 15; 2θ 59.67, intensity 23; 2θ 60.66, intensity 15; 2θ 77.28, intensity 9

Structure:
Unit cell a=7.698 b=7.698 c=7.698 alpha=124.30 beta=124.30 gamma=82.71
Element x y z (fractional)
Ac1 0.227 0.227 0.000
Ac2 0.773 0.773 0.000
In1 0.500 0.500 0.000
Sn1 0.222 0.222 0.444
Sn2 0.222 0.778 0.000
Sn3 0.778 0.222 0.000
Sn4 0.778 0.778 0.556
Pb1 0.250 0.750 0.500
Pb2 0.750 0.250 0.500